Structure and simulated XRD peak list of PrP5 (a crystal structure in the Materials Project, relaxed with PBE; CuKα).
Peak positions follow from Bragg's law for the DFT cell and can differ from measured ones.

Structural model:
Unit cell a=5.082 b=9.633 c=5.495 alpha=90.00 beta=102.02 gamma=90.00
Fractional positions:
Pr 0.009 0.250 0.348
Pr 0.991 0.750 0.652
P 0.292 0.250 0.901
P 0.295 0.530 0.402
P 0.295 0.970 0.402
P 0.385 0.590 0.048
P 0.385 0.910 0.048
P 0.615 0.090 0.952
P 0.615 0.410 0.952
P 0.705 0.030 0.598
P 0.705 0.470 0.598
P 0.708 0.750 0.099

Main lines, in order of rising 2θ (10° ≤ 2θ ≤ 90°):
- hkl 0 2 0, 2θ 18.4, intensity 28
- hkl 0 1 1, 2θ 18.9, intensity 44
- hkl 1 1 -1, 2θ 23.6, intensity 63
- hkl 1 2 0, 2θ 25.8, intensity 100
- hkl 1 0 1, 2θ 26.8, intensity 38
- hkl 1 1 1, 2θ 28.4, intensity 51
- hkl 1 2 -1, 2θ 28.6, intensity 46
- hkl 0 3 1, 2θ 32.5, intensity 35
- hkl 0 1 2, 2θ 34.7, intensity 47
- hkl 1 3 -2, 2θ 44.8, intensity 29